Entry 1:
Structure and theoretical XRD peak list of BaUN (a structure optimized by DFT (PBE); Cu Kα X-rays).

The 10 most intense peaks (2θ = 5–70°), sorted by position:
| Position (°2θ) | I (rel.) | hkl |
| --- | --- | --- |
| 6.61 | 57.3 | 1 0 0 |
| 13.24 | 23.5 | 2 0 0 |
| 26.67 | 20.3 | 4 0 0 |
| 27.97 | 28.0 | 0 0 2 |
| 28.77 | 100.0 | 1 1 1 |
| 39.03 | 15.2 | 4 0 2 |
| 44.19 | 38.3 | 5 1 1 |
| 49.48 | 24.1 | 0 2 0 |
| 49.93 | 20.4 | 6 0 2 |
| 57.09 | 15.5 | 4 2 0 |

Atomic structure:
```
data_BaUN
_space_group_name_H-M_alt 'A m m 2'
_space_group_IT_number 38
_space_group_name_Hall 'A 2 -2'
_cell_length_a 13.3707
_cell_length_b 3.6852
_cell_length_c 6.3783
_cell_angle_alpha 90.00
_cell_angle_beta 90.00
_cell_angle_gamma 90.00
loop_
_atom_site_label
_atom_site_fract_x
_atom_site_fract_y
_atom_site_fract_z
Ba1 0.1210 0.0000 0.0000
U1 0.4113 0.0000 0.6628
N1 0.0000 0.0000 0.3336
N2 0.5000 0.0000 0.3291
```


Entry 2:
Structure and theoretical XRD peak list of ZrSeI3 (a structure optimized by DFT (PBE); Cu Kα X-rays).

The 10 most intense peaks (2θ = 5–70°), sorted by position:
| Position (°2θ) | I (rel.) | hkl |
| --- | --- | --- |
| 11.26 | 79.1 | 0 1 0 |
| 12.65 | 100.0 | 1 0 0 |
| 12.89 | 47.4 | 0 1 1 |
| 23.50 | 35.6 | 0 2 1 |
| 25.41 | 91.7 | 2 2 1 |
| 26.70 | 94.5 | 1 0 4 |
| 26.91 | 36.6 | 2 2 2 |
| 29.02 | 49.3 | 1 2 -3 |
| 29.73 | 45.7 | 1 1 -4 |
| 35.29 | 48.1 | 1 3 3 |

Atomic structure:
```
data_ZrSeI3
_space_group_name_H-M_alt 'P -1'
_space_group_IT_number 2
_space_group_name_Hall '-P 1'
_cell_length_a 7.9008
_cell_length_b 8.7911
_cell_length_c 14.3143
_cell_angle_alpha 86.25
_cell_angle_beta 81.62
_cell_angle_gamma 63.34
loop_
_atom_site_label
_atom_site_fract_x
_atom_site_fract_y
_atom_site_fract_z
Zr1 0.0210 0.1278 0.3557
Zr2 0.1486 0.8722 0.8557
Se1 0.0451 0.6430 0.7991
Se2 0.3113 0.6429 0.7009
I1 0.0486 0.1890 0.9639
I2 0.1931 0.0846 0.6986
I3 0.2127 0.2894 0.4155
I4 0.2374 0.8110 0.4639
I5 0.2776 0.9154 0.1986
I6 0.4983 0.2894 0.0846
```


Entry 3:
Structure and theoretical XRD peak list of ErTm4Ir2 (a structure optimized by DFT (PBE); Cu Kα X-rays).

The 10 most intense peaks (2θ = 5–70°), sorted by position:
| Position (°2θ) | I (rel.) | hkl |
| --- | --- | --- |
| 28.75 | 46.2 | 0 2 0 |
| 31.12 | 49.4 | 2 1 -2 |
| 31.83 | 43.2 | 2 0 1 |
| 31.96 | 54.3 | 1 2 -1 |
| 34.45 | 47.6 | 1 0 -3 |
| 34.94 | 50.1 | 1 1 2 |
| 36.24 | 40.4 | 3 0 -2 |
| 37.13 | 100.0 | 1 2 -2 |
| 38.34 | 65.2 | 2 2 0 |
| 40.18 | 41.7 | 0 1 3 |

Atomic structure:
```
data_ErTm4Ir2
_space_group_name_H-M_alt 'P 1 21/m 1'
_space_group_IT_number 11
_space_group_name_Hall '-P 2yb'
_cell_length_a 7.7676
_cell_length_b 6.2102
_cell_length_c 7.8210
_cell_angle_alpha 90.00
_cell_angle_beta 112.56
_cell_angle_gamma 90.00
loop_
_atom_site_label
_atom_site_fract_x
_atom_site_fract_y
_atom_site_fract_z
Er1 0.0275 0.2500 0.1585
Tm1 0.2366 0.5023 0.5830
Tm2 0.3342 0.7500 0.2494
Tm3 0.3810 0.2500 0.0158
Ir1 0.0164 0.2500 0.7420
Ir2 0.4123 0.2500 0.3741
```


Entry 4:
Structure and theoretical XRD peak list of TbPmBe (a structure optimized by DFT (PBE); Cu Kα X-rays).

The 10 most intense peaks (2θ = 5–70°), sorted by position:
| Position (°2θ) | I (rel.) | hkl |
| --- | --- | --- |
| 26.31 | 100.0 | 1 0 1 |
| 29.51 | 41.0 | 0 0 4 |
| 33.74 | 94.0 | 1 0 3 |
| 36.00 | 56.5 | 1 1 0 |
| 47.21 | 45.4 | 1 1 4 |
| 51.82 | 20.0 | 2 0 0 |
| 59.03 | 21.4 | 2 1 1 |
| 59.53 | 22.0 | 1 0 7 |
| 60.77 | 21.4 | 2 0 4 |
| 63.28 | 30.5 | 2 1 3 |

Atomic structure:
```
data_TbPmBe
_space_group_name_H-M_alt 'I 4 m m'
_space_group_IT_number 107
_space_group_name_Hall 'I 4 -2'
_cell_length_a 3.5286
_cell_length_b 3.5286
_cell_length_c 12.1063
_cell_angle_alpha 90.00
_cell_angle_beta 90.00
_cell_angle_gamma 90.00
loop_
_atom_site_label
_atom_site_fract_x
_atom_site_fract_y
_atom_site_fract_z
Tb1 0.0000 0.0000 0.0000
Pm1 0.0000 0.0000 0.2710
Be1 0.0000 0.0000 0.6286
```


Entry 5:
Structure and theoretical XRD peak list of Tb2Ce2Tl3 (a structure optimized by DFT (PBE); Cu Kα X-rays).

The 10 most intense peaks (2θ = 5–70°), sorted by position:
| Position (°2θ) | I (rel.) | hkl |
| --- | --- | --- |
| 32.49 | 100.0 | 1 7 0 |
| 32.84 | 85.9 | 1 1 1 |
| 33.39 | 42.5 | 0 6 1 |
| 38.65 | 26.8 | 0 8 1 |
| 41.29 | 26.1 | 2 0 0 |
| 51.50 | 13.8 | 0 14 0 |
| 54.10 | 22.0 | 2 6 1 |
| 57.83 | 16.7 | 2 8 1 |
| 58.89 | 17.6 | 1 13 1 |
| 62.58 | 30.9 | 1 7 2 |

Atomic structure:
```
data_Tb2Ce2Tl3
_space_group_name_H-M_alt 'C m m m'
_space_group_IT_number 65
_space_group_name_Hall '-C 2 2'
_cell_length_a 4.3734
_cell_length_b 24.8431
_cell_length_c 3.5232
_cell_angle_alpha 90.00
_cell_angle_beta 90.00
_cell_angle_gamma 90.00
loop_
_atom_site_label
_atom_site_fract_x
_atom_site_fract_y
_atom_site_fract_z
Tb1 0.0000 0.0723 0.0000
Ce1 0.0000 0.2150 0.0000
Tl1 0.0000 0.3572 0.5000
Tl2 0.0000 0.5000 0.5000
```


Entry 6:
Structure and theoretical XRD peak list of CsCr2Se2 (a structure optimized by DFT (PBE); Cu Kα X-rays).

The 10 most intense peaks (2θ = 5–70°), sorted by position:
| Position (°2θ) | I (rel.) | hkl |
| --- | --- | --- |
| 22.57 | 8.0 | 0 0 4 |
| 29.05 | 100.0 | 1 0 3 |
| 33.43 | 13.9 | 1 1 0 |
| 35.37 | 24.6 | 1 1 2 |
| 37.10 | 8.6 | 1 0 5 |
| 47.99 | 23.4 | 2 0 0 |
| 48.53 | 40.4 | 1 1 6 |
| 57.08 | 28.9 | 2 1 3 |
| 58.03 | 10.5 | 1 0 9 |
| 68.73 | 6.8 | 2 0 8 |

Atomic structure:
```
data_CsCr2Se2
_space_group_name_H-M_alt 'I 4/m m m'
_space_group_IT_number 139
_space_group_name_Hall '-I 4 2'
_cell_length_a 3.7912
_cell_length_b 3.7912
_cell_length_c 15.7579
_cell_angle_alpha 90.00
_cell_angle_beta 90.00
_cell_angle_gamma 90.00
loop_
_atom_site_label
_atom_site_fract_x
_atom_site_fract_y
_atom_site_fract_z
Cs1 0.0000 0.0000 0.0000
Cr1 0.0000 0.5000 0.2500
Se1 0.0000 0.0000 0.3474
```


Entry 7:
Structure and theoretical XRD peak list of RbPu3Hg2Br12 (a structure optimized by DFT (PBE); Cu Kα X-rays).

The 10 most intense peaks (2θ = 5–70°), sorted by position:
| Position (°2θ) | I (rel.) | hkl |
| --- | --- | --- |
| 12.31 | 41.9 | 0 0 3 |
| 19.43 | 100.0 | 0 2 1 |
| 20.71 | 34.7 | 2 0 2 |
| 26.55 | 24.0 | 1 2 2 |
| 29.86 | 17.8 | 1 1 6 |
| 30.54 | 35.1 | 1 0 7 |
| 33.20 | 57.9 | 2 2 0 |
| 38.76 | 25.8 | 4 0 1 |
| 46.33 | 17.9 | 0 2 10 |
| 51.94 | 39.0 | 3 2 7 |

Atomic structure:
```
data_RbPu3Hg2Br12
_space_group_name_H-M_alt 'R -3 m'
_space_group_IT_number 166
_space_group_name_Hall '-R 3 2"'
_cell_length_a 10.7942
_cell_length_b 10.7942
_cell_length_c 21.5749
_cell_angle_alpha 90.00
_cell_angle_beta 90.00
_cell_angle_gamma 120.00
loop_
_atom_site_label
_atom_site_fract_x
_atom_site_fract_y
_atom_site_fract_z
Rb1 0.0000 0.0000 0.0000
Pu1 0.0000 0.5000 0.5000
Hg1 0.0000 0.0000 0.4225
Br1 0.0639 0.5319 0.3782
Br2 0.0812 0.5406 0.8067
```


Entry 8:
Structure and theoretical XRD peak list of BeReRh (a structure optimized by DFT (PBE); Cu Kα X-rays).

The 10 most intense peaks (2θ = 5–70°), sorted by position:
| Position (°2θ) | I (rel.) | hkl |
| --- | --- | --- |
| 12.99 | 100.0 | 0 0 1 |
| 34.53 | 76.5 | 0 1 2 |
| 39.57 | 36.9 | 1 1 0 |
| 41.82 | 68.7 | 1 1 1 |
| 42.08 | 23.4 | 1 0 2 |
| 45.18 | 32.7 | 0 2 0 |
| 45.91 | 30.7 | 0 1 3 |
| 48.05 | 27.7 | 1 1 2 |
| 52.11 | 20.2 | 1 0 3 |
| 63.44 | 14.0 | 1 2 2 |

Atomic structure:
```
data_BeReRh
_space_group_name_H-M_alt 'P m m 2'
_space_group_IT_number 25
_space_group_name_Hall 'P 2 -2'
_cell_length_a 2.7657
_cell_length_b 4.0141
_cell_length_c 6.8139
_cell_angle_alpha 90.00
_cell_angle_beta 90.00
_cell_angle_gamma 90.00
loop_
_atom_site_label
_atom_site_fract_x
_atom_site_fract_y
_atom_site_fract_z
Be1 0.0000 0.0000 0.0000
Be2 0.0000 0.5000 0.1970
Re1 0.0000 0.5000 0.5425
Re2 0.5000 0.0000 0.6836
Rh1 0.5000 0.0000 0.2889
Rh2 0.5000 0.5000 0.9324
```


Entry 9:
Structure and theoretical XRD peak list of BC2 (a structure optimized by DFT (PBE); Cu Kα X-rays).

The 10 most intense peaks (2θ = 5–70°), sorted by position:
| Position (°2θ) | I (rel.) | hkl |
| --- | --- | --- |
| 11.23 | 30.0 | 0 0 1 |
| 22.56 | 13.2 | 0 0 2 |
| 23.04 | 4.7 | 1 0 0 |
| 25.62 | 5.0 | 1 0 -1 |
| 32.60 | 1.6 | 1 0 2 |
| 41.42 | 45.8 | 1 0 -3 |
| 41.74 | 57.9 | 1 0 3 |
| 42.36 | 1.4 | 0 1 2 |
| 42.63 | 100.0 | 1 1 0 |
| 51.94 | 2.2 | 1 0 -4 |

Atomic structure:
```
data_BC2
_space_group_name_H-M_alt 'P 1 m 1'
_space_group_IT_number 6
_space_group_name_Hall 'P -2y'
_cell_length_a 3.8604
_cell_length_b 2.5381
_cell_length_c 7.8816
_cell_angle_alpha 90.00
_cell_angle_beta 90.45
_cell_angle_gamma 90.00
loop_
_atom_site_label
_atom_site_fract_x
_atom_site_fract_y
_atom_site_fract_z
B1 0.0000 0.0000 0.0000
B2 0.0261 0.0000 0.7084
B3 0.2680 0.0000 0.2398
B4 0.5638 0.5000 0.2025
C1 0.0059 0.0000 0.3894
C2 0.2823 0.0000 0.5400
C3 0.2984 0.0000 0.8722
C4 0.5180 0.5000 0.5443
C5 0.5237 0.5000 0.8684
C6 0.7445 0.5000 0.7046
C7 0.7707 0.5000 0.0303
C8 0.7786 0.5000 0.3876
```